Diffraction record for CsNa3U4Mo2O20. The powder diffraction line list is computed, not measured: it uses a cell relaxed with PBE+U and a wavelength of 1.5418 Å.

The 10 most intense peaks (15 to 90 degrees two-theta), sorted by position:
2θ 17.2, d = 5.146 Å, intensity 55
2θ 24.4, d = 3.643 Å, intensity 42
2θ 26.1, d = 3.415 Å, intensity 52
2θ 26.3, d = 3.394 Å, intensity 70
2θ 26.3, d = 3.383 Å, intensity 99
2θ 27.7, d = 3.226 Å, intensity 83
2θ 27.9, d = 3.199 Å, intensity 100
2θ 28.0, d = 3.187 Å, intensity 84
2θ 29.8, d = 3.001 Å, intensity 42
2θ 32.8, d = 2.731 Å, intensity 46

Cell and atoms:
Lattice parameters (Å, degrees): 6.678 6.931 11.567 83.93 77.08 81.23
Space group P-1 (No. 2)
Inequivalent atoms, fractional coordinates:
1 Cs 0.000 0.000 0.000 [1 per cell]
2 Na 0.000 0.000 0.500 [1 per cell]
3 Na 0.056 0.470 0.666 [2 per cell]
4 U 0.466 0.769 0.245 [2 per cell]
5 U 0.493 0.259 0.437 [2 per cell]
6 Mo 0.394 0.330 0.102 [2 per cell]
7 O 0.128 0.396 0.118 [2 per cell]
8 O 0.181 0.776 0.295 [2 per cell]
9 O 0.202 0.301 0.471 [2 per cell]
10 O 0.218 0.780 0.604 [2 per cell]
11 O 0.251 0.245 0.811 [2 per cell]
12 O 0.422 0.066 0.128 [2 per cell]
13 O 0.444 0.654 0.056 [2 per cell]
14 O 0.467 0.418 0.602 [2 per cell]
15 O 0.472 0.959 0.391 [2 per cell]
16 O 0.479 0.390 0.232 [2 per cell]